# Sr2InSn3Pt2
Computed powder diffraction line list, Cu Kα X-rays. Input: a cell relaxed with GGA-PBE.
Intensities are scaled so that the largest is 1000.

Top 8 peaks for 2θ = 10–80°, by angle:
2θ (°), I_rel
15.35, 1000
31.44, 619
31.57, 725
32.65, 653
32.85, 607
38.45, 561
38.77, 797
40.12, 796

Crystal structure
```
data_Sr2InSn3Pt2
_chemical_formula_sum 'Sr4 In2 Sn6 Pt4'
_symmetry_space_group_name_H-M 'C 1 m 1'
_symmetry_Int_Tables_number 8
_symmetry_space_group_name_Hall 'C -2y'
_cell_length_a 11.549
_cell_length_b 4.495
_cell_length_c 7.726
_cell_angle_alpha 90.00
_cell_angle_beta 90.65
_cell_angle_gamma 90.00
loop_
_atom_site_label
_atom_site_type_symbol
_atom_site_fract_x
_atom_site_fract_y
_atom_site_fract_z
_atom_site_occupancy
Sr1 Sr 0.000 0.000 0.000 1
Sr2 Sr 0.131 0.000 0.498 1
In1 In 0.418 0.000 0.300 1
Sn1 Sn 0.213 0.500 0.799 1
Sn2 Sn 0.218 0.500 0.202 1
Sn3 Sn 0.417 0.000 0.701 1
Pt1 Pt 0.275 0.000 0.997 1
Pt2 Pt 0.354 0.500 0.506 1
```